Theoretical powder XRD pattern
Compound: K2GaAgI6
Radiation: copper Kα
Structure: a structure optimized by DFT (PBE)
Intensities are scaled so that the largest is 100.

Largest 10 diffraction maxima, low angle first, 2θ = 10–80°:
2θ/deg  I (rel.)
15.18  65
26.45  79
30.64  100
34.36  35
43.88  72
46.69  19
51.96  35
54.46  25
70.31  14
72.42  31

Structural model:
```
K2GaAgI6
1.0
0.000 5.836 5.836
5.836 0.000 5.836
5.836 5.836 0.000
K Ga Ag I
2 1 1 6
direct
0.250 0.250 0.250
0.750 0.750 0.750
0.000 0.000 0.000
0.500 0.500 0.500
0.245 0.245 0.755
0.245 0.755 0.245
0.245 0.755 0.755
0.755 0.245 0.245
0.755 0.245 0.755
0.755 0.755 0.245
```